Simulated X-ray diffraction stick pattern
Compound: Ca5Ta
Radiation: copper Kα
Structure: a GGA-PBE-relaxed structure
Kinematic intensities with the Lorentz-polarization factor, no thermal factor.

Top 12 peaks for 10° ≤ 2θ ≤ 90°, by intensity:
2.966 Å, 30.1°, rel. 1000
8.326 Å, 10.6°, rel. 502
2.481 Å, 36.2°, rel. 339
1.510 Å, 61.4°, rel. 242
2.683 Å, 33.4°, rel. 236
1.850 Å, 49.3°, rel. 199
5.551 Å, 16.0°, rel. 187
3.433 Å, 26.0°, rel. 167
2.416 Å, 37.2°, rel. 166
2.378 Å, 37.8°, rel. 149
2.775 Å, 32.3°, rel. 147
1.483 Å, 62.6°, rel. 131

Cell and atoms:
```
Ca5Ta
1.0
3.5088 0.0000 0.0000
0.0000 3.5088 0.0000
0.0000 0.0000 16.6519
Ca Ta
5 1
Cartesian
0.0000 0.0000 0.0000 Ca
0.0000 0.0000 6.1573 Ca
0.0000 0.0000 10.4946 Ca
1.7544 1.7544 3.0131 Ca
1.7544 1.7544 13.6388 Ca
1.7544 1.7544 8.3259 Ta
```

Simulated X-ray diffraction stick pattern
Compound: Ca7Ta
Radiation: copper Kα
Structure: a GGA-PBE-relaxed structure
Kinematic intensities with the Lorentz-polarization factor, no thermal factor.

Top 12 peaks for 10° ≤ 2θ ≤ 90°, by intensity:
3.029 Å, 29.5°, rel. 1000
2.624 Å, 34.2°, rel. 500
6.059 Å, 14.6°, rel. 399
1.582 Å, 58.3°, rel. 394
1.855 Å, 49.1°, rel. 339
3.164 Å, 28.2°, rel. 265
5.247 Å, 16.9°, rel. 219
3.710 Å, 24.0°, rel. 196
1.204 Å, 79.6°, rel. 151
1.173 Å, 82.2°, rel. 140
2.408 Å, 37.4°, rel. 130
2.347 Å, 38.4°, rel. 121

Cell and atoms:
```
Ca7Ta
1.0
0.0000 5.2472 5.2472
5.2472 0.0000 5.2472
5.2472 5.2472 0.0000
Ca Ta
7 1
Cartesian
0.0000 0.0000 0.0000 Ca
2.6236 2.6236 0.0000 Ca
2.6236 0.0000 2.6236 Ca
5.2472 2.6236 2.6236 Ca
0.0000 2.6236 2.6236 Ca
2.6236 5.2472 2.6236 Ca
2.6236 2.6236 5.2472 Ca
5.2472 5.2472 5.2472 Ta
```

Simulated X-ray diffraction stick pattern
Compound: Ca4Ta
Radiation: copper Kα
Structure: a GGA-PBE-relaxed structure
Kinematic intensities with the Lorentz-polarization factor, no thermal factor.

Top 12 peaks for 10° ≤ 2θ ≤ 90°, by intensity:
5.151 Å, 17.2°, rel. 1000
2.575 Å, 34.8°, rel. 675
2.974 Å, 30.0°, rel. 523
1.947 Å, 46.7°, rel. 316
2.304 Å, 39.1°, rel. 260
1.487 Å, 62.5°, rel. 232
1.429 Å, 65.3°, rel. 175
1.717 Å, 53.4°, rel. 160
1.821 Å, 50.1°, rel. 116
1.152 Å, 84.0°, rel. 98
1.182 Å, 81.4°, rel. 96
1.330 Å, 70.9°, rel. 92

Cell and atoms:
```
Ca4Ta
1.0
7.2846 0.0000 0.0000
0.0000 7.2846 0.0000
0.0000 0.0000 7.2846
Ca Ta
8 2
Cartesian
1.8211 1.8211 1.8211 Ca
1.8211 1.8211 5.4634 Ca
1.8211 5.4634 1.8211 Ca
1.8211 5.4634 5.4634 Ca
5.4634 1.8211 1.8211 Ca
5.4634 1.8211 5.4634 Ca
5.4634 5.4634 1.8211 Ca
5.4634 5.4634 5.4634 Ca
0.0000 0.0000 0.0000 Ta
3.6423 3.6423 3.6423 Ta
```

Simulated X-ray diffraction stick pattern
Compound: Ca2Ta3
Radiation: copper Kα
Structure: a GGA-PBE-relaxed structure
Kinematic intensities with the Lorentz-polarization factor, no thermal factor.

Top 12 peaks for 10° ≤ 2θ ≤ 90°, by intensity:
2.521 Å, 35.6°, rel. 1000
2.226 Å, 40.5°, rel. 682
6.848 Å, 12.9°, rel. 647
2.739 Å, 32.7°, rel. 392
1.335 Å, 70.5°, rel. 252
1.623 Å, 56.7°, rel. 229
1.529 Å, 60.6°, rel. 216
2.643 Å, 33.9°, rel. 154
2.160 Å, 41.8°, rel. 151
1.397 Å, 67.0°, rel. 127
1.307 Å, 72.3°, rel. 126
1.844 Å, 49.4°, rel. 116

Cell and atoms:
```
Ca2Ta3
1.0
3.0581 0.0000 0.0000
-1.5290 2.6484 0.0000
0.0000 0.0000 41.0892
Ca Ta
6 9
Cartesian
0.0000 0.0000 4.0238 Ca
0.0000 0.0000 37.0654 Ca
0.0000 1.7656 23.3690 Ca
0.0000 1.7656 31.4167 Ca
1.5290 0.8828 9.6726 Ca
1.5290 0.8828 17.7202 Ca
0.0000 0.0000 12.4804 Ta
0.0000 0.0000 20.5446 Ta
0.0000 0.0000 28.6088 Ta
0.0000 1.7656 6.8482 Ta
0.0000 1.7656 14.9124 Ta
0.0000 1.7656 39.8732 Ta
1.5290 0.8828 1.2160 Ta
1.5290 0.8828 26.1768 Ta
1.5290 0.8828 34.2410 Ta
```

Simulated X-ray diffraction stick pattern
Compound: Ca4Ta3
Radiation: copper Kα
Structure: a GGA-PBE-relaxed structure
Kinematic intensities with the Lorentz-polarization factor, no thermal factor.

Top 12 peaks for 10° ≤ 2θ ≤ 90°, by intensity:
6.514 Å, 13.6°, rel. 1000
2.349 Å, 38.3°, rel. 823
2.519 Å, 35.6°, rel. 494
1.644 Å, 55.9°, rel. 405
2.735 Å, 32.7°, rel. 348
1.993 Å, 45.5°, rel. 292
3.257 Å, 27.4°, rel. 281
2.656 Å, 33.7°, rel. 231
3.985 Å, 22.3°, rel. 164
1.367 Å, 68.6°, rel. 163
5.038 Å, 17.6°, rel. 150
1.328 Å, 71.0°, rel. 145

Cell and atoms:
```
Ca4Ta3
1.0
5.8172 0.0000 0.0000
-2.9086 5.0378 0.0000
0.0000 0.0000 6.5138
Ca Ta
4 3
Cartesian
0.0000 0.0000 1.5775 Ca
0.0000 0.0000 4.9363 Ca
0.0000 3.3586 3.2569 Ca
2.9086 1.6793 3.2569 Ca
-1.4543 2.5189 0.0000 Ta
2.9086 0.0000 0.0000 Ta
1.4543 2.5189 0.0000 Ta
```

Simulated X-ray diffraction stick pattern
Compound: CaTa4
Radiation: copper Kα
Structure: a GGA-PBE-relaxed structure
Kinematic intensities with the Lorentz-polarization factor, no thermal factor.

Top 8 peaks for 10° ≤ 2θ ≤ 90°, by intensity:
3.061 Å, 29.2°, rel. 1000
2.164 Å, 41.7°, rel. 974
1.369 Å, 68.6°, rel. 364
1.249 Å, 76.2°, rel. 335
1.767 Å, 51.7°, rel. 280
1.530 Å, 60.5°, rel. 164
4.328 Å, 20.5°, rel. 21
2.499 Å, 35.9°, rel. 9

Cell and atoms:
```
CaTa4
1.0
6.1211 0.0000 0.0000
0.0000 6.1211 0.0000
0.0000 0.0000 6.1211
Ca Ta
2 8
Cartesian
0.0000 0.0000 0.0000 Ca
3.0605 3.0605 3.0605 Ca
1.5303 1.5303 1.5303 Ta
1.5303 1.5303 4.5908 Ta
1.5303 4.5908 1.5303 Ta
1.5303 4.5908 4.5908 Ta
4.5908 1.5303 1.5303 Ta
4.5908 1.5303 4.5908 Ta
4.5908 4.5908 1.5303 Ta
4.5908 4.5908 4.5908 Ta
```